For Zn4Cu11Sn5Se20, DFT lattice parameters and positions (GGA-PBE) gives the calculated XRD peak list in this record (Cu Kα (λ = 1.5418 Å)).
Intensities are scaled so that the largest is 100.

Largest 10 diffraction maxima, by angle, 10° ≤ 2θ ≤ 80°:
| two_theta | I/Imax |
| --- | --- |
| 26.8 | 100 |
| 35.8 | 2 |
| 44.4 | 49 |
| 44.6 | 25 |
| 52.5 | 14 |
| 52.8 | 29 |
| 64.4 | 4 |
| 64.9 | 8 |
| 71.3 | 11 |
| 71.5 | 6 |

Crystal structure
Unit cell a=10.7757 b=10.7757 c=10.7757 alpha=106.77 beta=106.77 gamma=115.01
Element x y z (fractional)
Zn (0.1002, 0.6999, 0.7998)
Zn (0.3001, 0.0999, 0.4003)
Zn (0.6996, 0.8998, 0.5997)
Zn (0.9001, 0.3004, 0.2002)
Cu (0.0517, 0.3513, 0.9016)
Cu (0.1519, 0.0507, 0.7011)
Cu (0.2500, 0.7500, 0.5000)
Cu (0.3496, 0.4508, 0.2989)
Cu (0.4497, 0.1501, 0.0984)
Cu (0.5000, 0.5000, 0.0000)
Cu (0.5492, 0.8481, 0.8988)
Cu (0.6487, 0.5503, 0.7003)
Cu (0.7500, 0.2500, 0.5000)
Cu (0.8499, 0.9483, 0.2997)
Cu (0.9493, 0.6504, 0.1012)
Sn (0.0000, 0.0000, 0.0000)
Sn (0.2033, 0.4024, 0.6022)
Sn (0.3988, 0.7967, 0.1991)
Sn (0.5976, 0.1998, 0.8009)
Sn (0.8002, 0.6012, 0.3978)
Se (0.0127, 0.4202, 0.7039)
Se (0.0914, 0.7873, 0.6083)
Se (0.1163, 0.1093, 0.4965)
Se (0.1791, 0.4831, 0.3917)
Se (0.2127, 0.8209, 0.3040)
Se (0.2911, 0.1874, 0.2073)
Se (0.3203, 0.5091, 0.0945)
Se (0.3801, 0.8837, 0.9929)
Se (0.4146, 0.2258, 0.9055)
Se (0.4909, 0.5854, 0.8112)
Se (0.5169, 0.9086, 0.6960)
Se (0.5798, 0.2836, 0.5925)
Se (0.6128, 0.6199, 0.5035)
Se (0.6911, 0.9873, 0.4075)
Se (0.7164, 0.3089, 0.2961)
Se (0.7742, 0.6797, 0.1888)
Se (0.8126, 0.0199, 0.1036)
Se (0.8907, 0.3872, 0.0071)
Se (0.9162, 0.7089, 0.8964)
Se (0.9801, 0.0838, 0.7927)



For SrTlCu3Se4, DFT lattice parameters and positions (GGA-PBE) gives the calculated XRD peak list in this record (Cu Kα (λ = 1.5418 Å)).
Intensities are scaled so that the largest is 100.

Largest 10 diffraction maxima, by angle, 10° ≤ 2θ ≤ 80°:
| two_theta | I/Imax |
| --- | --- |
| 14.0 | 44 |
| 19.9 | 46 |
| 24.4 | 43 |
| 31.7 | 14 |
| 34.8 | 23 |
| 40.4 | 100 |
| 47.8 | 19 |
| 54.4 | 14 |
| 58.5 | 16 |
| 73.5 | 32 |

Crystal structure
Unit cell a=6.3124 b=6.3124 c=6.3124 alpha=90.00 beta=90.00 gamma=90.00
Element x y z (fractional)
Sr (0.0000, 0.0000, 0.0000)
Tl (0.5000, 0.5000, 0.5000)
Cu (0.0000, 0.5000, 0.5000)
Cu (0.5000, 0.0000, 0.5000)
Cu (0.5000, 0.5000, 0.0000)
Se (0.2637, 0.2637, 0.7363)
Se (0.2637, 0.7363, 0.2637)
Se (0.7363, 0.2637, 0.2637)
Se (0.7363, 0.7363, 0.7363)